Structure and computed X-ray diffraction stick pattern of KPrGdGeO6 (a structure optimized by DFT (PBE); Cu Ka).
No peak broadening, texture or thermal motion is included.

The 8 most intense peaks (15 to 90 degrees two-theta), in order of rising 2θ:
| two_theta | Rel. int. |
| --- | --- |
| 18.71 | 21.9 |
| 30.78 | 100.0 |
| 36.26 | 15.3 |
| 44.09 | 32.1 |
| 54.73 | 39.1 |
| 64.11 | 19.2 |
| 72.80 | 17.6 |
| 89.20 | 21.3 |

Structure:
```
10
Lattice="0.0000 4.1082 4.1082 4.1082 0.0000 4.1082 4.1082 4.1082 0.0000" Properties=species:S:1:pos:R:3 pbc="T T T"
K 0.0000 0.0000 0.0000
Pr 4.1082 4.1082 4.1082
Gd 6.1623 6.1623 6.1623
Ge 2.0541 2.0541 2.0541
O 2.0541 2.0541 0.1597
O 2.0541 0.1597 2.0541
O 3.9485 2.0541 2.0541
O 0.1597 2.0541 2.0541
O 2.0541 3.9485 2.0541
O 2.0541 2.0541 3.9485
```